This entry pairs a crystal structure of Na4TeAu with its theoretical powder X-ray diffraction pattern. Radiation: Cu Kα (weighted mean of Kα1 and Kα2). Structure: a cell relaxed with GGA-PBE.
Kinematic intensities with the Lorentz-polarization factor, no thermal factor.

Structural model:
```
data_Na4TeAu
_symmetry_space_group_name_H-M 'C 1 2/m 1'
_symmetry_Int_Tables_number 12
_symmetry_space_group_name_Hall '-C 2y'
_cell_length_a 15.9599
_cell_length_b 8.2368
_cell_length_c 5.4561
_cell_angle_alpha 90.00
_cell_angle_beta 109.94
_cell_angle_gamma 90.00
loop_
_atom_site_label
_atom_site_type_symbol
_atom_site_fract_x
_atom_site_fract_y
_atom_site_fract_z
Na1 Na 0.0000 0.1857 0.0000
Na2 Na 0.1331 0.2527 0.6326
Na3 Na 0.1796 0.5000 0.1787
Te1 Te 0.1932 0.0000 0.1938
Au1 Au 0.0000 0.5000 0.2544
```

Largest 10 diffraction maxima, sorted by position, 5° ≤ 2θ ≤ 70°:
- 2θ = 12.3°, I 100, hkl 1 1 0
- 2θ = 20.8°, I 98, hkl 3 1 0
- 2θ = 21.6°, I 48, hkl 0 2 0
- 2θ = 32.3°, I 26, hkl 4 2 0
- 2θ = 32.6°, I 33, hkl 4 2 -1
- 2θ = 35.0°, I 30, hkl 0 0 2
- 2θ = 35.2°, I 41, hkl 3 1 -2
- 2θ = 37.4°, I 29, hkl 3 3 0
- 2θ = 41.5°, I 46, hkl 0 2 2
- 2θ = 46.3°, I 32, hkl 3 1 2

=====

This entry pairs a crystal structure of NaTm2Te4Au with its theoretical powder X-ray diffraction pattern. Radiation: Cu Kα (weighted mean of Kα1 and Kα2). Structure: a cell relaxed with GGA-PBE.
Kinematic intensities with the Lorentz-polarization factor, no thermal factor.

Structural model:
```
data_NaTm2Te4Au
_symmetry_space_group_name_H-M 'C m c m'
_symmetry_Int_Tables_number 63
_symmetry_space_group_name_Hall '-C 2c 2'
_cell_length_a 4.2950
_cell_length_b 14.4533
_cell_length_c 15.5232
_cell_angle_alpha 90.00
_cell_angle_beta 90.00
_cell_angle_gamma 90.00
loop_
_atom_site_label
_atom_site_type_symbol
_atom_site_fract_x
_atom_site_fract_y
_atom_site_fract_z
Na1 Na 0.0000 0.1460 0.2500
Tm1 Tm 0.0000 0.3702 0.0769
Te1 Te 0.0000 0.0000 0.0000
Te2 Te 0.0000 0.2743 0.6089
Te3 Te 0.0000 0.4695 0.2500
Au1 Au 0.0000 0.1520 0.7500
```

Largest 10 diffraction maxima, sorted by position, 5° ≤ 2θ ≤ 70°:
- 2θ = 13.5°, I 86, hkl 0 2 1
- 2θ = 26.1°, I 30, hkl 0 2 4
- 2θ = 28.4°, I 21, hkl 1 3 1
- 2θ = 30.2°, I 100, hkl 1 3 2
- 2θ = 31.4°, I 24, hkl 0 2 5
- 2θ = 32.9°, I 32, hkl 1 3 3
- 2θ = 34.7°, I 22, hkl 0 0 6
- 2θ = 36.3°, I 24, hkl 1 3 4
- 2θ = 41.5°, I 55, hkl 1 5 3
- 2θ = 42.1°, I 30, hkl 2 0 0

=====

This entry pairs a crystal structure of Na8Tl3Au with its theoretical powder X-ray diffraction pattern. Radiation: Cu Kα (weighted mean of Kα1 and Kα2). Structure: a cell relaxed with GGA-PBE.
Kinematic intensities with the Lorentz-polarization factor, no thermal factor.

Structural model:
```
data_Na8Tl3Au
_symmetry_space_group_name_H-M 'F m m 2'
_symmetry_Int_Tables_number 42
_symmetry_space_group_name_Hall 'F 2 -2'
_cell_length_a 10.4031
_cell_length_b 10.4756
_cell_length_c 14.9565
_cell_angle_alpha 90.00
_cell_angle_beta 90.00
_cell_angle_gamma 90.00
loop_
_atom_site_label
_atom_site_type_symbol
_atom_site_fract_x
_atom_site_fract_y
_atom_site_fract_z
Na1 Na 0.0000 0.2391 0.0000
Na2 Na 0.0000 0.2390 0.2370
Na3 Na 0.2387 0.0000 0.2386
Na4 Na 0.2390 0.0000 0.9993
Tl1 Tl 0.0000 0.0000 0.6190
Tl2 Tl 0.2500 0.2500 0.3687
Au1 Au 0.0000 0.0000 0.1186
```

Largest 10 diffraction maxima, sorted by position, 5° ≤ 2θ ≤ 70°:
- 2θ = 20.8°, I 100, hkl 2 0 2
- 2θ = 23.8°, I 10, hkl 0 0 4
- 2θ = 24.1°, I 20, hkl 2 2 0
- 2θ = 34.1°, I 45, hkl 2 2 4
- 2θ = 34.2°, I 11, hkl 0 4 0
- 2θ = 34.5°, I 11, hkl 4 0 0
- 2θ = 40.1°, I 19, hkl 0 2 6
- 2θ = 40.4°, I 19, hkl 2 4 2
- 2θ = 40.6°, I 18, hkl 4 2 2
- 2θ = 53.9°, I 12, hkl 4 2 6